MgCoCu2SnS4: theoretical PXRD pattern (a wavelength of 1.5418 Å), based on a cell relaxed with GGA-PBE.
Intensities are scaled so that the largest is 100.

The 10 most intense peaks (5 to 70 degrees two-theta), in order of rising 2θ:
2θ 25.99, I = 81; 2θ 28.52, I = 100; 2θ 29.15, I = 25; 2θ 30.82, I = 36; 2θ 40.72, I = 36; 2θ 41.21, I = 19; 2θ 45.87, I = 65; 2θ 47.38, I = 23; 2θ 50.46, I = 36; 2θ 54.83, I = 19

Structural model:
```
9
Lattice="3.8372 -4.4320 0.0000 3.8372 4.4320 0.0000 -3.8313 0.0000 5.4099" Properties=species:S:1:pos:R:3 pbc="T T T"
Mg 0.0000 0.0000 0.0000
Co 3.8373 0.0000 2.5491
Cu 1.9210 2.2119 5.2177
Cu 1.9210 -2.2119 5.2177
Sn -0.0063 0.0000 3.1654
S 0.0036 2.5947 3.9046
S 2.0676 0.0000 1.1525
S 0.0036 -2.5947 3.9046
S 5.6008 0.0000 1.1453
```